1.
# CdAs2Se4
Calculated powder X-ray diffraction pattern, Cu Kα, 1.54184 Å. Input: a DFT-relaxed cell (PBE, Alexandria).

Structural model:
Lattice parameters (Å, degrees): 6.5873 6.5873 13.5491 90.00 90.00 145.64
Fractional coordinates of all 14 atoms:
1 Cd 0.0966 0.9034 0.7500
2 Cd 0.9034 0.0966 0.2500
3 As 0.3643 0.6357 0.5637
4 As 0.3643 0.6357 0.9363
5 As 0.6357 0.3643 0.0637
6 As 0.6357 0.3643 0.4363
7 Se 0.0000 0.0000 0.0000
8 Se 0.0000 0.0000 0.5000
9 Se 0.2724 0.7276 0.1166
10 Se 0.2724 0.7276 0.3834
11 Se 0.4515 0.5485 0.7500
12 Se 0.5485 0.4515 0.2500
13 Se 0.7276 0.2724 0.6166
14 Se 0.7276 0.2724 0.8834

Largest 10 diffraction maxima, in order of rising 2θ, 2θ from 10° to 90°:
Position (°2θ)	d [Å]	Rel. int.
24.26	3.669	32
29.96	2.983	73
31.35	2.853	24
32.06	2.792	100
34.10	2.629	58
41.22	2.190	40
44.92	2.018	23
46.68	1.946	32
47.49	1.914	36
56.47	1.630	23

---

2.
# CdSnAsWSe
Calculated powder X-ray diffraction pattern, Cu Kα, 1.54184 Å. Input: a DFT-relaxed cell (PBE, Alexandria).

Structural model:
Lattice parameters (Å, degrees): 5.7403 3.2962 6.2000 90.00 104.97 90.00
Fractional coordinates of all 5 atoms:
1 Cd 0.0000 0.0000 0.0000
2 Sn 0.8990 0.5000 0.5324
3 As 0.5743 0.0000 0.1811
4 W 0.3403 0.5000 0.3521
5 Se 0.4221 0.0000 0.6634

Largest 10 diffraction maxima, in order of rising 2θ, 2θ from 10° to 90°:
Position (°2θ)	d [Å]	Rel. int.
14.79	5.990	67
18.79	4.723	36
30.97	2.888	100
31.87	2.808	48
32.29	2.773	39
36.84	2.440	69
37.64	2.390	56
40.85	2.209	74
42.28	2.137	53
42.61	2.122	46

---

3.
# CdSnAsWSe
Calculated powder X-ray diffraction pattern, Cu Kα, 1.54184 Å. Input: a DFT-relaxed cell (PBE, Alexandria).

Structural model:
Lattice parameters (Å, degrees): 12.2825 3.3145 5.6985 90.00 98.40 90.00
Fractional coordinates of all 10 atoms:
1 Cd 0.0000 0.0000 0.0000
2 Cd 0.5000 0.5000 0.0000
3 Sn 0.2525 0.0000 0.0998
4 Sn 0.7525 0.5000 0.0998
5 As 0.0463 0.5000 0.5783
6 As 0.5463 0.0000 0.5783
7 W 0.3956 0.5000 0.4342
8 W 0.8956 0.0000 0.4342
9 Se 0.2773 0.0000 0.6221
10 Se 0.7773 0.5000 0.6221

Largest 10 diffraction maxima, in order of rising 2θ, 2θ from 10° to 90°:
Position (°2θ)	d [Å]	Rel. int.
14.58	6.075	64
19.86	4.471	45
27.90	3.198	34
31.75	2.819	44
32.72	2.737	51
34.98	2.565	100
35.56	2.525	42
37.11	2.423	43
41.90	2.156	69
47.28	1.923	44

---

4.
# CdSiAs
Calculated powder X-ray diffraction pattern, Cu Kα, 1.54184 Å. Input: a DFT-relaxed cell (PBE, Alexandria).

Structural model:
Lattice parameters (Å, degrees): 5.6772 5.6772 7.3011 90.00 90.00 120.00
Fractional coordinates of all 9 atoms:
1 Cd 0.0471 0.6079 0.0000
2 Cd 0.3921 0.4392 0.6667
3 Cd 0.5608 0.9529 0.3333
4 Si 0.1633 0.1448 0.9715
5 Si 0.8552 0.0186 0.6382
6 Si 0.9814 0.8367 0.3048
7 As 0.3584 0.3034 0.2811
8 As 0.6966 0.0550 0.9478
9 As 0.9450 0.6416 0.6145

Largest 10 diffraction maxima, in order of rising 2θ, 2θ from 10° to 90°:
Position (°2θ)	d [Å]	Rel. int.
21.79	4.078	62
30.50	2.931	79
31.52	2.839	100
33.88	2.646	19
36.94	2.434	37
38.65	2.330	39
44.43	2.039	39
49.32	1.848	43
50.69	1.801	29
55.49	1.656	30

---

5.
# Sr2Cd2As3
Calculated powder X-ray diffraction pattern, Cu Kα, 1.54184 Å. Input: a DFT-relaxed cell (PBE, Alexandria).

Structural model:
Lattice parameters (Å, degrees): 8.6349 8.6349 12.5095 124.95 124.95 30.29
Fractional coordinates of all 14 atoms:
1 Sr 0.1068 0.1068 0.4533
2 Sr 0.2319 0.2319 0.8308
3 Sr 0.7681 0.7681 0.1692
4 Sr 0.8932 0.8932 0.5467
5 Cd 0.0911 0.0911 0.1576
6 Cd 0.4551 0.4551 0.1866
7 Cd 0.5449 0.5449 0.8134
8 Cd 0.9089 0.9089 0.8424
9 As 0.1248 0.1248 0.9690
10 As 0.3408 0.3408 0.6866
11 As 0.4203 0.4203 0.3823
12 As 0.5797 0.5797 0.6177
13 As 0.6592 0.6592 0.3134
14 As 0.8752 0.8752 0.0310

Largest 10 diffraction maxima, in order of rising 2θ, 2θ from 10° to 90°:
Position (°2θ)	d [Å]	Rel. int.
25.60	3.479	51
26.57	3.355	37
29.47	3.031	51
29.86	2.992	33
32.95	2.718	100
34.38	2.609	55
34.92	2.569	88
39.96	2.256	75
41.78	2.162	54
53.72	1.706	30

---

6.
# Cd2TcAs
Calculated powder X-ray diffraction pattern, Cu Kα, 1.54184 Å. Input: a DFT-relaxed cell (PBE, Alexandria).

Structural model:
Lattice parameters (Å, degrees): 3.0376 3.0376 30.3251 90.00 90.00 120.00
Fractional coordinates of all 12 atoms:
1 Cd 0.0000 0.0000 0.0000
2 Cd 0.0000 0.0000 0.2349
3 Cd 0.3333 0.6667 0.6667
4 Cd 0.3333 0.6667 0.9016
5 Cd 0.6667 0.3333 0.3333
6 Cd 0.6667 0.3333 0.5683
7 Tc 0.0000 0.0000 0.7445
8 Tc 0.3333 0.6667 0.4112
9 Tc 0.6667 0.3333 0.0779
10 As 0.0000 0.0000 0.4685
11 As 0.3333 0.6667 0.1351
12 As 0.6667 0.3333 0.8018

Largest 10 diffraction maxima, in order of rising 2θ, 2θ from 10° to 90°:
Position (°2θ)	d [Å]	Rel. int.
26.45	3.369	19
35.52	2.527	18
36.14	2.485	100
37.26	2.413	10
41.80	2.161	52
52.42	1.745	13
61.01	1.519	22
62.95	1.476	9
72.63	1.302	12
73.01	1.296	12

---

7.
# TlCdAs2
Calculated powder X-ray diffraction pattern, Cu Kα, 1.54184 Å. Input: a DFT-relaxed cell (PBE, Alexandria).

Structural model:
Lattice parameters (Å, degrees): 3.5989 5.6346 5.6367 115.42 90.32 90.32
Fractional coordinates of all 4 atoms:
1 Tl 0.0000 0.0000 0.0000
2 Cd 0.4998 0.7171 0.2745
3 As 0.9997 0.4650 0.5344
4 As 0.4998 0.2801 0.7131

Largest 10 diffraction maxima, in order of rising 2θ, 2θ from 10° to 90°:
Position (°2θ)	d [Å]	Rel. int.
29.68	3.010	62
30.29	2.951	15
30.55	2.926	15
31.15	2.872	100
31.86	2.809	31
37.77	2.382	23
43.37	2.087	40
43.75	2.069	39
48.75	1.868	22
70.96	1.328	16

---

8.
# Tl2Cd2As
Calculated powder X-ray diffraction pattern, Cu Kα, 1.54184 Å. Input: a DFT-relaxed cell (PBE, Alexandria).

Structural model:
Lattice parameters (Å, degrees): 7.2588 7.2588 5.2033 90.00 90.00 90.00
Fractional coordinates of all 10 atoms:
1 Tl 0.1732 0.3268 0.0000
2 Tl 0.3268 0.8268 0.0000
3 Tl 0.6732 0.1732 0.0000
4 Tl 0.8268 0.6732 0.0000
5 Cd 0.1387 0.6387 0.5000
6 Cd 0.3613 0.1387 0.5000
7 Cd 0.6387 0.8613 0.5000
8 Cd 0.8613 0.3613 0.5000
9 As 0.0000 0.0000 0.5000
10 As 0.5000 0.5000 0.5000

Largest 10 diffraction maxima, in order of rising 2θ, 2θ from 10° to 90°:
Position (°2θ)	d [Å]	Rel. int.
24.53	3.629	8
30.02	2.977	20
32.51	2.754	100
34.47	2.602	25
39.25	2.295	21
53.22	1.721	17
55.07	1.668	16
60.52	1.530	17
65.27	1.430	7
72.43	1.305	9

---

9.
# TmCdAs
Calculated powder X-ray diffraction pattern, Cu Kα, 1.54184 Å. Input: a DFT-relaxed cell (PBE, Alexandria).

Structural model:
Lattice parameters (Å, degrees): 9.0990 9.0990 9.0990 30.53 30.53 30.53
Fractional coordinates of all 6 atoms:
1 Tm 0.1079 0.1079 0.1079
2 Tm 0.8921 0.8921 0.8921
3 Cd 0.3214 0.3214 0.3214
4 Cd 0.6786 0.6786 0.6786
5 As 0.2158 0.2158 0.2158
6 As 0.7842 0.7842 0.7842

Largest 10 diffraction maxima, in order of rising 2θ, 2θ from 10° to 90°:
Position (°2θ)	d [Å]	Rel. int.
21.69	4.098	30
22.49	3.953	33
25.46	3.498	34
27.50	3.244	60
30.95	2.889	46
37.54	2.396	100
40.96	2.204	28
49.42	1.844	75
67.73	1.383	23
76.32	1.248	20

---

10.
# CdAsW2
Calculated powder X-ray diffraction pattern, Cu Kα, 1.54184 Å. Input: a DFT-relaxed cell (PBE, Alexandria).

Structural model:
Lattice parameters (Å, degrees): 3.2253 3.2253 7.0463 90.00 90.00 90.00
Fractional coordinates of all 4 atoms:
1 Cd 0.0000 0.0000 0.0000
2 As 0.5000 0.5000 0.6798
3 W 0.0000 0.0000 0.4790
4 W 0.5000 0.5000 0.2735

Largest 10 diffraction maxima, in order of rising 2θ, 2θ from 10° to 90°:
Position (°2θ)	d [Å]	Rel. int.
12.56	7.046	43
37.82	2.379	100
39.51	2.281	51
41.62	2.170	10
47.91	1.899	17
57.11	1.613	17
67.14	1.394	12
70.55	1.335	32
77.69	1.229	9
80.80	1.189	7

---

11.
# ZnCd2As
Calculated powder X-ray diffraction pattern, Cu Kα, 1.54184 Å. Input: a DFT-relaxed cell (PBE, Alexandria).

Structural model:
Lattice parameters (Å, degrees): 3.6599 3.6599 6.6691 90.00 90.00 90.00
Fractional coordinates of all 4 atoms:
1 Zn 0.0000 0.0000 0.0000
2 Cd 0.0000 0.0000 0.4227
3 Cd 0.5000 0.5000 0.6496
4 As 0.5000 0.5000 0.0601

Largest 10 diffraction maxima, in order of rising 2θ, 2θ from 10° to 90°:
Position (°2θ)	d [Å]	Rel. int.
26.73	3.335	20
27.81	3.208	38
34.66	2.588	100
36.45	2.465	96
40.58	2.223	14
44.31	2.044	20
49.83	1.830	35
54.41	1.686	23
63.29	1.469	36
83.53	1.157	15

---

12.
# ZnCd2As
Calculated powder X-ray diffraction pattern, Cu Kα, 1.54184 Å. Input: a DFT-relaxed cell (PBE, Alexandria).

Structural model:
Lattice parameters (Å, degrees): 2.8493 3.9160 7.7232 90.00 90.00 90.00
Fractional coordinates of all 4 atoms:
1 Zn 0.0000 0.0000 0.0000
2 Cd 0.0000 0.0000 0.5068
3 Cd 0.5000 0.5000 0.2342
4 As 0.0000 0.5000 0.7853

Largest 10 diffraction maxima, in order of rising 2θ, 2θ from 10° to 90°:
Position (°2θ)	d [Å]	Rel. int.
32.57	2.750	100
33.52	2.673	27
39.10	2.304	22
39.30	2.293	24
40.87	2.208	28
45.86	1.979	14
46.37	1.958	19
47.07	1.931	15
62.79	1.480	13
75.10	1.265	16